No. 1
Starting from a structure optimized by DFT (GGA-PBE), the powder diffractogram of Mo4C3 was simulated for Cu Kα (weighted mean of Kα1 and Kα2).
Peak positions follow from Bragg's law for the DFT cell and can differ from measured ones.

Cell: 4.317 4.317 4.317 Å, 90.00 90.00 90.00°
Element x y z (fractional)
1 Mo 0.000 0.000 0.000
2 Mo 0.000 0.500 0.500
3 Mo 0.500 0.000 0.500
4 Mo 0.500 0.500 0.000
5 C 0.000 0.000 0.500
6 C 0.000 0.500 0.000
7 C 0.500 0.000 0.000

Top 5 peaks for 10 to 90 degrees two-theta, sorted by position:
- 36.0 deg, rel. 1000
- 41.8 deg, rel. 665
- 60.7 deg, rel. 418
- 72.6 deg, rel. 385
- 76.4 deg, rel. 142

***

No. 2
Starting from a structure optimized by DFT (GGA-PBE), the powder diffractogram of Mo5C2 was simulated for Cu Kα (weighted mean of Kα1 and Kα2).
Peak positions follow from Bragg's law for the DFT cell and can differ from measured ones.

Cell: 7.045 7.045 5.577 Å, 103.47 103.47 43.44°
Element x y z (fractional)
1 Mo 0.078 0.922 0.750
2 Mo 0.108 0.288 0.651
3 Mo 0.288 0.108 0.151
4 Mo 0.312 0.494 0.066
5 Mo 0.494 0.312 0.566
6 Mo 0.506 0.688 0.434
7 Mo 0.688 0.506 0.934
8 Mo 0.712 0.892 0.849
9 Mo 0.892 0.712 0.349
10 Mo 0.922 0.078 0.250
11 C 0.104 0.598 0.707
12 C 0.402 0.896 0.793
13 C 0.598 0.104 0.207
14 C 0.896 0.402 0.293

Top 10 peaks for 10 to 90 degrees two-theta, sorted by position:
- 34.6 deg, rel. 416
- 38.0 deg, rel. 637
- 39.5 deg, rel. 1000
- 39.5 deg, rel. 896
- 39.8 deg, rel. 867
- 52.2 deg, rel. 295
- 61.8 deg, rel. 333
- 69.6 deg, rel. 178
- 75.0 deg, rel. 247
- 75.6 deg, rel. 190

***

No. 3
Starting from a structure optimized by DFT (GGA-PBE), the powder diffractogram of Mo3C4 was simulated for Cu Kα (weighted mean of Kα1 and Kα2).
Peak positions follow from Bragg's law for the DFT cell and can differ from measured ones.

Cell: 7.985 7.985 7.985 Å, 158.01 158.01 31.29°
Element x y z (fractional)
1 Mo 0.000 0.000 0.000
2 Mo 0.314 0.314 0.000
3 Mo 0.686 0.686 0.000
4 C 0.165 0.165 0.000
5 C 0.455 0.455 0.000
6 C 0.545 0.545 0.000
7 C 0.835 0.835 0.000

Top 10 peaks for 10 to 90 degrees two-theta, sorted by position:
- 34.2 deg, rel. 1000
- 35.0 deg, rel. 270
- 42.0 deg, rel. 513
- 51.3 deg, rel. 157
- 55.8 deg, rel. 262
- 60.8 deg, rel. 159
- 62.3 deg, rel. 97
- 71.7 deg, rel. 238
- 72.2 deg, rel. 120
- 88.7 deg, rel. 92

***

No. 4
Starting from a structure optimized by DFT (GGA-PBE), the powder diffractogram of MoC3 was simulated for Cu Kα (weighted mean of Kα1 and Kα2).
Peak positions follow from Bragg's law for the DFT cell and can differ from measured ones.

Cell: 7.699 7.699 2.514 Å, 90.00 90.00 148.37°
Element x y z (fractional)
1 Mo 0.090 0.910 0.750
2 Mo 0.910 0.090 0.250
3 C 0.073 0.590 0.750
4 C 0.410 0.927 0.750
5 C 0.475 0.525 0.250
6 C 0.525 0.475 0.750
7 C 0.590 0.073 0.250
8 C 0.927 0.410 0.250

Top 10 peaks for 10 to 90 degrees two-theta, sorted by position:
- 11.9 deg, rel. 305
- 22.0 deg, rel. 1000
- 36.4 deg, rel. 312
- 37.1 deg, rel. 483
- 37.8 deg, rel. 422
- 42.4 deg, rel. 252
- 43.5 deg, rel. 186
- 45.9 deg, rel. 378
- 58.7 deg, rel. 206
- 61.4 deg, rel. 165